Theoretical powder X-ray diffraction pattern
Compound: BiPI
Radiation: a wavelength of 1.5418 Å
Structure: a GGA-PBE-relaxed structure
Kinematic intensities with the Lorentz-polarization factor, no thermal factor.

The 12 most intense peaks (10 to 90 degrees two-theta), by angle:
d/Å, I_rel
5.797, 50
4.765, 82
4.451, 34
4.365, 33
3.763, 44
3.043, 49
2.963, 100
2.569, 31
2.542, 34
2.511, 72
2.490, 63
2.110, 31

Cell and atoms:
a b c (Å): 4.2218 5.1525 11.7850
angles (deg): 84.70 79.80 67.68
Fractional coordinates of all 6 atoms:
Bi (0.0000, 0.0000, 0.0000)
Bi (0.1435, 0.0207, 0.6897)
P (0.0989, 0.3911, 0.8448)
P (0.6815, 0.8043, 0.8449)
I (0.3101, 0.2875, 0.1651)
I (0.6067, 0.3306, 0.5246)

Theoretical powder X-ray diffraction pattern
Compound: BaSmC3N6
Radiation: a wavelength of 1.5418 Å
Structure: a GGA-PBE-relaxed structure
Kinematic intensities with the Lorentz-polarization factor, no thermal factor.

The 12 most intense peaks (10 to 90 degrees two-theta), by angle:
d/Å, I_rel
5.240, 100
3.484, 22
3.026, 17
2.901, 34
2.620, 20
2.538, 32
2.094, 23
1.981, 14
1.945, 9
1.823, 9
1.747, 7
1.510, 7

Cell and atoms:
a b c (Å): 6.5529 6.5529 6.5529
angles (deg): 106.20 106.20 106.20
Fractional coordinates of all 11 atoms:
Ba (0.0000, 0.0000, 0.0000)
Sm (0.5000, 0.5000, 0.5000)
C (0.0000, 0.4994, 0.5006)
C (0.4994, 0.5006, 0.0000)
C (0.5006, 0.0000, 0.4994)
N (0.0877, 0.3902, 0.3917)
N (0.3902, 0.3917, 0.0877)
N (0.3917, 0.0877, 0.3902)
N (0.6083, 0.6098, 0.9123)
N (0.6098, 0.9123, 0.6083)
N (0.9123, 0.6083, 0.6098)

Theoretical powder X-ray diffraction pattern
Compound: ZrGaS3
Radiation: a wavelength of 1.5418 Å
Structure: a GGA-PBE-relaxed structure
Kinematic intensities with the Lorentz-polarization factor, no thermal factor.

The 12 most intense peaks (10 to 90 degrees two-theta), by angle:
d/Å, I_rel
5.612, 100
3.240, 38
2.884, 28
2.755, 19
2.263, 91
2.121, 12
2.099, 19
1.871, 34
1.762, 14
1.442, 19
1.208, 16
1.142, 18

Cell and atoms:
a b c (Å): 6.4805 6.4805 6.3250
angles (deg): 90.00 90.00 120.00
Fractional coordinates of all 10 atoms:
Zr (0.0000, 0.0000, 0.0000)
Zr (0.0000, 0.0000, 0.5000)
Ga (0.3333, 0.6667, 0.0000)
Ga (0.3333, 0.6667, 0.5000)
S (0.0339, 0.3339, 0.2500)
S (0.0339, 0.7000, 0.7500)
S (0.3000, 0.3339, 0.7500)
S (0.3000, 0.9661, 0.2500)
S (0.6661, 0.7000, 0.2500)
S (0.6661, 0.9661, 0.7500)